The following is a computed powder diffractogram of Li3FeB2O6. It was derived from DFT lattice parameters and positions (PBE+U), using Cu Kα (λ = 1.5418 Å).
Peak positions follow from Bragg's law for the DFT cell and can differ from measured ones.

Crystal structure
Cell lengths 5.1932, 8.9146, 11.0409 Å; angles 90.00, 117.01, 90.00 degrees
Sites, in units of the cell vectors:
Li 0.0104 0.0240 0.1673
Li 0.0104 0.4760 0.6673
Li 0.0495 0.6581 0.8803
Li 0.0495 0.8419 0.3803
Li 0.4252 0.0121 0.6013
Li 0.4252 0.4879 0.1013
Li 0.5748 0.5121 0.8987
Li 0.5748 0.9879 0.3987
Li 0.9505 0.1581 0.6197
Li 0.9505 0.3419 0.1197
Li 0.9896 0.5240 0.3327
Li 0.9896 0.9760 0.8327
Fe 0.4728 0.6732 0.6235
Fe 0.4728 0.8268 0.1235
Fe 0.5272 0.1732 0.8765
Fe 0.5272 0.3268 0.3765
B 0.0470 0.1767 0.3795
B 0.0470 0.3233 0.8795
B 0.4664 0.1644 0.1299
B 0.4664 0.3356 0.6299
B 0.5336 0.6644 0.3701
B 0.5336 0.8356 0.8701
B 0.9530 0.6767 0.1205
B 0.9530 0.8233 0.6205
O 0.1274 0.1828 0.8504
O 0.1274 0.3172 0.3504
O 0.1899 0.6677 0.0927
O 0.1899 0.8323 0.5927
O 0.1966 0.0497 0.3803
O 0.1966 0.4503 0.8803
O 0.3243 0.6721 0.4163
O 0.3243 0.8279 0.9163
O 0.3518 0.0266 0.1395
O 0.3518 0.4734 0.6395
O 0.3708 0.2071 0.6690
O 0.3708 0.2929 0.1690
O 0.6292 0.7071 0.8310
O 0.6292 0.7929 0.3310
O 0.6482 0.5266 0.3605
O 0.6482 0.9734 0.8605
O 0.6757 0.1721 0.0837
O 0.6757 0.3279 0.5837
O 0.8034 0.5497 0.1197
O 0.8034 0.9503 0.6197
O 0.8101 0.1677 0.4073
O 0.8101 0.3323 0.9073
O 0.8726 0.6828 0.6496
O 0.8726 0.8172 0.1496

The 10 most intense peaks (2θ from 10° to 90°), by intensity:
d [Å]	intensity	(hkl)
2.459	100	0 0 4
4.306	94	0 1 2
2.579	75	1 3 -1
4.627	74	1 0 0
4.457	51	0 2 0
3.341	35	1 1 1
1.496	33	3 3 -3
4.059	31	1 1 -2
2.195	28	2 2 -1
2.596	28	2 0 -2

The following is a computed powder diffractogram of La3Co3O8. It was derived from DFT lattice parameters and positions (PBE+U), using Cu Kα (λ = 1.5418 Å).
Peak positions follow from Bragg's law for the DFT cell and can differ from measured ones.

Crystal structure
Cell lengths 5.6552, 5.4325, 11.7646 Å; angles 90.00, 90.37, 90.00 degrees
Sites, in units of the cell vectors:
La 0.2316 0.0000 0.1887
La 0.2329 0.9969 0.8075
La 0.2490 0.9940 0.4988
La 0.7510 0.4940 0.5012
La 0.7671 0.4969 0.1925
La 0.7684 0.5000 0.8113
Co 0.2502 0.4946 0.3357
Co 0.2580 0.4944 0.6675
Co 0.3121 0.5427 0.9976
Co 0.6879 0.0427 0.0024
Co 0.7420 0.9944 0.3325
Co 0.7498 0.9946 0.6643
O 0.0093 0.2517 0.6445
O 0.0142 0.7420 0.6442
O 0.1766 0.4751 0.1466
O 0.1882 0.4851 0.8414
O 0.3300 0.4939 0.5082
O 0.3575 0.9141 0.9996
O 0.4976 0.7396 0.6927
O 0.4991 0.7518 0.3066
O 0.5009 0.2518 0.6934
O 0.5024 0.2396 0.3073
O 0.6425 0.4141 0.0004
O 0.6700 0.9939 0.4918
O 0.8118 0.9851 0.1586
O 0.8234 0.9751 0.8534
O 0.9858 0.2420 0.3558
O 0.9907 0.7517 0.3555

The 10 most intense peaks (2θ from 10° to 90°), by intensity:
d [Å]	intensity	(hkl)
2.765	100	1 1 3
2.778	99	1 1 -3
1.959	84	2 2 0
2.716	62	0 2 0
2.828	60	2 0 0
3.919	47	1 1 0
1.579	36	1 3 3
1.617	28	3 1 3
1.625	21	3 1 -3
2.233	19	0 2 3

The following is a computed powder diffractogram of Mn12O7F17. It was derived from DFT lattice parameters and positions (PBE+U), using Cu Kα (λ = 1.5418 Å).
Peak positions follow from Bragg's law for the DFT cell and can differ from measured ones.

Crystal structure
Cell lengths 4.8004, 5.8254, 15.7951 Å; angles 88.57, 89.62, 88.86 degrees
Sites, in units of the cell vectors:
Mn 0.0000 0.0000 0.0000
Mn 0.0014 0.0198 0.3468
Mn 0.0052 0.0069 0.6772
Mn 0.0183 0.3290 0.1761
Mn 0.4517 0.8396 0.5133
Mn 0.4573 0.4817 0.3390
Mn 0.4625 0.5197 0.0151
Mn 0.4874 0.8161 0.1749
Mn 0.5005 0.5106 0.6797
Mn 0.5071 0.8323 0.8533
Mn 0.9670 0.3052 0.8369
Mn 0.9948 0.3189 0.5093
O 0.1988 0.0616 0.4558
O 0.2066 0.2576 0.2849
O 0.2657 0.7878 0.6239
O 0.2807 0.5484 0.1233
O 0.2824 0.7882 0.9575
O 0.7867 0.2661 0.7301
O 0.7910 0.0464 0.8962
F 0.2123 0.2931 0.9428
F 0.2212 0.0496 0.1079
F 0.2394 0.2844 0.6174
F 0.2444 0.5635 0.4522
F 0.2466 0.0390 0.7801
F 0.2489 0.7700 0.2855
F 0.2511 0.5403 0.7927
F 0.7042 0.8070 0.4023
F 0.7115 0.5359 0.9091
F 0.7192 0.5579 0.5600
F 0.7319 0.7669 0.7426
F 0.7330 0.5534 0.2368
F 0.7409 0.2889 0.4055
F 0.7426 0.7834 0.0691
F 0.7619 0.0505 0.5732
F 0.7656 0.0474 0.2315
F 0.7667 0.2844 0.0644

The 10 most intense peaks (2θ from 10° to 90°), by intensity:
d [Å]	intensity	(hkl)
3.022	100	-1 1 3
3.079	53	1 1 3
3.740	50	1 1 0
3.668	49	1 -1 0
2.994	48	1 -1 3
1.779	25	2 0 6
1.768	24	2 0 -6
2.247	24	-1 2 3
1.751	19	2 2 -3
2.632	18	0 0 6

The following is a computed powder diffractogram of Li5MnO4. It was derived from DFT lattice parameters and positions (PBE+U), using Cu Kα (λ = 1.5418 Å).
Peak positions follow from Bragg's law for the DFT cell and can differ from measured ones.

Crystal structure
Cell lengths 7.3792, 5.1511, 5.0506 Å; angles 90.00, 90.00, 90.00 degrees
Sites, in units of the cell vectors:
Li 0.0000 0.1664 0.0000
Li 0.1734 0.5772 0.2871
Li 0.1882 0.0851 0.4552
Li 0.3118 0.9149 0.9552
Li 0.3266 0.4228 0.7871
Li 0.5000 0.8336 0.5000
Li 0.6734 0.4228 0.7871
Li 0.6882 0.9149 0.9552
Li 0.8118 0.0851 0.4552
Li 0.8266 0.5772 0.2871
Mn 0.0000 0.6529 0.7447
Mn 0.5000 0.3471 0.2447
O 0.0000 0.3094 0.6055
O 0.0000 0.7977 0.0917
O 0.2406 0.7446 0.6263
O 0.2594 0.2554 0.1263
O 0.5000 0.2023 0.5917
O 0.5000 0.6906 0.1055
O 0.7406 0.2554 0.1263
O 0.7594 0.7446 0.6263

The 10 most intense peaks (2θ from 10° to 90°), by intensity:
d [Å]	intensity	(hkl)
4.168	100	1 0 1
4.224	72	1 1 0
3.606	58	0 1 1
2.578	56	0 2 0
3.240	52	1 1 1
5.151	31	0 1 0
2.167	31	1 1 2
3.690	30	2 0 0
1.468	29	2 1 3
2.211	29	3 0 1

The following is a computed powder diffractogram of Li2Co4OF8. It was derived from DFT lattice parameters and positions (PBE+U), using Cu Kα (λ = 1.5418 Å).
Peak positions follow from Bragg's law for the DFT cell and can differ from measured ones.

Crystal structure
Cell lengths 5.3064, 9.1024, 14.3795 Å; angles 90.06, 90.14, 90.38 degrees
Sites, in units of the cell vectors:
Li 0.0000 0.0000 0.0000
Li 0.0001 0.0463 0.3149
Li 0.0043 0.0555 0.8034
Li 0.0175 0.0312 0.5170
Li 0.4835 0.5448 0.5134
Li 0.4930 0.5673 0.9907
Li 0.4937 0.5021 0.8126
Li 0.5217 0.5064 0.3123
Co 0.0015 0.6752 0.6263
Co 0.0164 0.6761 0.8405
Co 0.0172 0.3927 0.9599
Co 0.0263 0.6960 0.3377
Co 0.0295 0.3711 0.4747
Co 0.0305 0.7041 0.1486
Co 0.0383 0.3595 0.6596
Co 0.4892 0.8622 0.3414
Co 0.4902 0.1925 0.1723
Co 0.4923 0.1956 0.4713
Co 0.4974 0.1984 0.6598
Co 0.4975 0.1931 0.9695
Co 0.4979 0.8637 0.6459
Co 0.4999 0.8595 0.1512
Co 0.5031 0.8659 0.8435
Co 0.9969 0.3612 0.1657
O 0.1565 0.5108 0.5719
O 0.2105 0.8351 0.2456
O 0.2117 0.2059 0.5658
O 0.2149 0.5354 0.9026
F 0.1437 0.1842 0.9183
F 0.1502 0.1921 0.2315
F 0.1496 0.8780 0.8940
F 0.1608 0.8601 0.5795
F 0.1748 0.5293 0.2336
F 0.3088 0.0287 0.4035
F 0.3184 0.3414 0.0717
F 0.3338 0.7140 0.7427
F 0.3497 0.3497 0.7414
F 0.3513 0.7016 0.0732
F 0.3590 0.0382 0.0712
F 0.3609 0.0190 0.7416
F 0.3621 0.3714 0.4015
F 0.3679 0.6736 0.4028
F 0.6513 0.0242 0.2414
F 0.6546 0.0323 0.5717
F 0.6561 0.7045 0.5739
F 0.6577 0.3726 0.9145
F 0.6656 0.3603 0.2308
F 0.6691 0.6914 0.9010
F 0.6869 0.3615 0.5629
F 0.6926 0.0310 0.9073
F 0.7039 0.6975 0.2419
F 0.7989 0.2057 0.0709
F 0.8053 0.8550 0.7458
F 0.8364 0.8615 0.0830
F 0.8395 0.1992 0.7260
F 0.8416 0.5262 0.3955
F 0.8420 0.8729 0.3921
F 0.8475 0.1851 0.4184
F 0.8565 0.5433 0.7376
F 0.8733 0.5198 0.0736

The 10 most intense peaks (2θ from 10° to 90°), by intensity:
d [Å]	intensity	(hkl)
4.563	100	1 1 0
3.344	71	0 1 -4
1.775	64	-1 3 6
5.642	59	0 1 2
4.598	55	1 -1 0
2.493	39	-1 2 4
2.653	28	2 0 0
2.314	27	1 -3 3
2.303	27	1 3 3
2.321	27	2 0 -3